Entry 1:
ZrGa2Ni: computed X-ray powder pattern (CuKα), based on the PBE geometry in the Materials Project.
Kinematic intensities with the Lorentz-polarization factor, no thermal factor.

a b c (Å): 9.674 9.674 9.674
angles (deg): 100.20 100.20 130.23
Fractional coordinates of all 40 atoms:
Zr (0.000, 0.000, 0.000)
Zr (0.065, 0.352, 0.287)
Zr (0.065, 0.778, 0.713)
Zr (0.352, 0.065, 0.287)
Zr (0.370, 0.370, 0.593)
Zr (0.370, 0.776, 0.000)
Zr (0.447, 0.447, 0.000)
Zr (0.776, 0.370, 0.000)
Zr (0.776, 0.776, 0.407)
Zr (0.778, 0.065, 0.713)
Ga (0.091, 0.091, 0.734)
Ga (0.091, 0.357, 0.000)
Ga (0.180, 0.673, 0.211)
Ga (0.180, 0.969, 0.507)
Ga (0.201, 0.583, 0.618)
Ga (0.357, 0.091, 0.000)
Ga (0.357, 0.357, 0.266)
Ga (0.462, 0.673, 0.493)
Ga (0.462, 0.969, 0.789)
Ga (0.572, 0.732, 0.840)
Ga (0.583, 0.201, 0.618)
Ga (0.583, 0.965, 0.382)
Ga (0.673, 0.180, 0.211)
Ga (0.673, 0.462, 0.493)
Ga (0.732, 0.572, 0.840)
Ga (0.732, 0.892, 0.160)
Ga (0.892, 0.732, 0.160)
Ga (0.965, 0.583, 0.382)
Ga (0.969, 0.180, 0.507)
Ga (0.969, 0.462, 0.789)
Ni (0.070, 0.070, 0.324)
Ni (0.070, 0.745, 0.000)
Ni (0.202, 0.419, 0.783)
Ni (0.336, 0.836, 0.500)
Ni (0.419, 0.202, 0.783)
Ni (0.419, 0.637, 0.217)
Ni (0.637, 0.419, 0.217)
Ni (0.745, 0.070, 0.000)
Ni (0.745, 0.745, 0.676)
Ni (0.836, 0.336, 0.500)

Peak list (10 most intense, 2θ from 15° to 90°, in order of rising 2θ)
two_theta  intensity
36.4  34.2
37.9  100.0
39.3  15.8
39.7  22.3
41.1  12.9
42.4  27.0
43.8  26.2
45.0  16.4
45.8  17.4
74.6  12.3



Entry 2:
NpGa2: computed X-ray powder pattern (CuKα), based on the PBE geometry in the Materials Project.
Kinematic intensities with the Lorentz-polarization factor, no thermal factor.

a b c (Å): 4.726 4.726 2.959
angles (deg): 90.00 90.00 120.00
Fractional coordinates of all 3 atoms:
Np (0.000, 0.000, 0.000)
Ga (0.333, 0.667, 0.500)
Ga (0.667, 0.333, 0.500)

Peak list (10 most intense, 2θ from 15° to 90°, in order of rising 2θ)
two_theta  intensity
21.7  51.7
37.5  100.0
38.1  73.9
44.3  8.6
54.5  34.5
59.8  7.4
68.4  35.0
68.8  13.1
75.9  19.8
81.5  8.3



Entry 3:
NpGa2: computed X-ray powder pattern (CuKα), based on the PBE geometry in the Materials Project.
Kinematic intensities with the Lorentz-polarization factor, no thermal factor.

a b c (Å): 4.779 4.779 2.884
angles (deg): 90.00 90.00 120.00
Fractional coordinates of all 3 atoms:
Np (0.000, 0.000, 0.000)
Ga (0.333, 0.667, 0.500)
Ga (0.667, 0.333, 0.500)

Peak list (10 most intense, 2θ from 15° to 90°, in order of rising 2θ)
two_theta  intensity
21.5  55.1
37.6  79.2
38.0  100.0
43.7  9.2
54.6  35.7
59.1  8.0
68.0  14.1
68.2  36.7
77.3  19.6
80.4  8.9



Please write out number 2 again, unchanged.
NpGa2: computed X-ray powder pattern (CuKα), based on the PBE geometry in the Materials Project.
Kinematic intensities with the Lorentz-polarization factor, no thermal factor.

a b c (Å): 4.726 4.726 2.959
angles (deg): 90.00 90.00 120.00
Fractional coordinates of all 3 atoms:
Np (0.000, 0.000, 0.000)
Ga (0.333, 0.667, 0.500)
Ga (0.667, 0.333, 0.500)

Peak list (10 most intense, 2θ from 15° to 90°, in order of rising 2θ)
two_theta  intensity
21.7  51.7
37.5  100.0
38.1  73.9
44.3  8.6
54.5  34.5
59.8  7.4
68.4  35.0
68.8  13.1
75.9  19.8
81.5  8.3



Copy entry 1 word for word.
ZrGa2Ni: computed X-ray powder pattern (CuKα), based on the PBE geometry in the Materials Project.
Kinematic intensities with the Lorentz-polarization factor, no thermal factor.

a b c (Å): 9.674 9.674 9.674
angles (deg): 100.20 100.20 130.23
Fractional coordinates of all 40 atoms:
Zr (0.000, 0.000, 0.000)
Zr (0.065, 0.352, 0.287)
Zr (0.065, 0.778, 0.713)
Zr (0.352, 0.065, 0.287)
Zr (0.370, 0.370, 0.593)
Zr (0.370, 0.776, 0.000)
Zr (0.447, 0.447, 0.000)
Zr (0.776, 0.370, 0.000)
Zr (0.776, 0.776, 0.407)
Zr (0.778, 0.065, 0.713)
Ga (0.091, 0.091, 0.734)
Ga (0.091, 0.357, 0.000)
Ga (0.180, 0.673, 0.211)
Ga (0.180, 0.969, 0.507)
Ga (0.201, 0.583, 0.618)
Ga (0.357, 0.091, 0.000)
Ga (0.357, 0.357, 0.266)
Ga (0.462, 0.673, 0.493)
Ga (0.462, 0.969, 0.789)
Ga (0.572, 0.732, 0.840)
Ga (0.583, 0.201, 0.618)
Ga (0.583, 0.965, 0.382)
Ga (0.673, 0.180, 0.211)
Ga (0.673, 0.462, 0.493)
Ga (0.732, 0.572, 0.840)
Ga (0.732, 0.892, 0.160)
Ga (0.892, 0.732, 0.160)
Ga (0.965, 0.583, 0.382)
Ga (0.969, 0.180, 0.507)
Ga (0.969, 0.462, 0.789)
Ni (0.070, 0.070, 0.324)
Ni (0.070, 0.745, 0.000)
Ni (0.202, 0.419, 0.783)
Ni (0.336, 0.836, 0.500)
Ni (0.419, 0.202, 0.783)
Ni (0.419, 0.637, 0.217)
Ni (0.637, 0.419, 0.217)
Ni (0.745, 0.070, 0.000)
Ni (0.745, 0.745, 0.676)
Ni (0.836, 0.336, 0.500)

Peak list (10 most intense, 2θ from 15° to 90°, in order of rising 2θ)
two_theta  intensity
36.4  34.2
37.9  100.0
39.3  15.8
39.7  22.3
41.1  12.9
42.4  27.0
43.8  26.2
45.0  16.4
45.8  17.4
74.6  12.3